# SrH2Pd
Simulated powder X-ray diffraction pattern, copper Kα. Input: a crystal structure in Alexandria, relaxed with GGA-PBE.
No peak broadening, texture or thermal motion is included.

Crystal structure
Cell: 3.825 3.825 3.743 Å, 90.00 90.00 90.00°
Fractional coordinates of all 4 atoms:
Sr  0.000  0.000  0.000
H  0.000  0.500  0.500
H  0.500  0.000  0.500
Pd  0.500  0.500  0.500

Most intense lines, 2θ = 15–90°, most intense first:
d_spacing  I_rel
2.675  100
2.705  50
1.556  37
1.912  19
1.539  18
1.338  11
1.872  9
1.207  8
1.210  8
1.186  8

=====

# PrSnH6Rh3
Simulated powder X-ray diffraction pattern, copper Kα. Input: a crystal structure in Alexandria, relaxed with GGA-PBE.
No peak broadening, texture or thermal motion is included.

Crystal structure
Cell: 5.034 5.034 5.034 Å, 92.93 92.93 92.93°
Fractional coordinates of all 11 atoms:
Pr  0.000  0.000  0.000
Sn  0.414  0.414  0.414
H  0.117  0.518  0.923
H  0.516  0.925  0.772
H  0.518  0.923  0.117
H  0.772  0.516  0.925
H  0.923  0.117  0.518
H  0.925  0.772  0.516
Rh  0.450  0.620  0.925
Rh  0.620  0.925  0.450
Rh  0.925  0.450  0.620

Most intense lines, 2θ = 15–90°, most intense first:
d_spacing  I_rel
3.649  100
2.510  92
2.068  91
2.295  72
2.754  60
2.952  44
2.198  41
2.107  34
1.379  33
1.233  31

=====

# La3Tl2Pd4
Simulated powder X-ray diffraction pattern, copper Kα. Input: a crystal structure in Alexandria, relaxed with GGA-PBE.
No peak broadening, texture or thermal motion is included.

Crystal structure
Cell: 5.587 5.587 9.189 Å, 92.42 92.42 50.16°
Fractional coordinates of all 9 atoms:
La  0.000  0.000  0.000
La  0.371  0.371  0.611
La  0.629  0.629  0.389
Tl  0.326  0.326  0.219
Tl  0.674  0.674  0.781
Pd  0.078  0.078  0.628
Pd  0.287  0.287  0.912
Pd  0.713  0.713  0.088
Pd  0.922  0.922  0.372

Most intense lines, 2θ = 15–90°, most intense first:
d_spacing  I_rel
2.468  100
2.746  87
2.368  55
3.165  37
2.673  36
2.318  29
4.517  26
1.773  21
2.514  17
1.375  17

=====

# CeCdSiHg
Simulated powder X-ray diffraction pattern, copper Kα. Input: a crystal structure in Alexandria, relaxed with GGA-PBE.
No peak broadening, texture or thermal motion is included.

Crystal structure
Cell: 5.056 5.056 5.056 Å, 60.00 60.00 60.00°
Fractional coordinates of all 4 atoms:
Ce  0.000  0.000  0.000
Cd  0.500  0.500  0.500
Si  0.250  0.250  0.250
Hg  0.750  0.750  0.750

Most intense lines, 2θ = 15–90°, most intense first:
d_spacing  I_rel
2.528  100
1.460  36
4.128  29
1.788  18
2.156  17
1.131  16
1.264  11
1.640  7
1.209  5
1.376  5

=====

# Tm3UC4
Simulated powder X-ray diffraction pattern, copper Kα. Input: a crystal structure in Alexandria, relaxed with GGA-PBE.
No peak broadening, texture or thermal motion is included.

Crystal structure
Cell: 6.083 6.083 3.541 Å, 90.00 90.00 110.01°
Fractional coordinates of all 8 atoms:
Tm  0.000  0.000  0.000
Tm  0.000  0.500  0.500
Tm  0.500  0.000  0.500
U  0.500  0.500  0.000
C  0.263  0.737  0.000
C  0.274  0.274  0.500
C  0.726  0.726  0.500
C  0.737  0.263  0.000

Most intense lines, 2θ = 15–90°, most intense first:
d_spacing  I_rel
2.886  100
2.858  98
2.485  84
1.760  59
1.505  45
2.492  42
1.493  29
1.443  15
1.770  15
1.500  15

=====

# CrMo5W6
Simulated powder X-ray diffraction pattern, copper Kα. Input: a crystal structure in Alexandria, relaxed with GGA-PBE.
No peak broadening, texture or thermal motion is included.

Crystal structure
Cell: 5.238 5.472 6.872 Å, 82.24 78.05 80.06°
Fractional coordinates of all 12 atoms:
Cr  0.000  0.000  0.000
Mo  0.000  0.500  0.000
Mo  0.331  0.165  0.669
Mo  0.332  0.668  0.668
Mo  0.668  0.332  0.332
Mo  0.669  0.835  0.331
W  0.165  0.083  0.330
W  0.166  0.585  0.332
W  0.498  0.752  0.000
W  0.502  0.248  0.000
W  0.834  0.415  0.668
W  0.835  0.917  0.670

Most intense lines, 2θ = 15–90°, most intense first:
d_spacing  I_rel
2.234  100
2.229  50
1.289  26
1.580  17
4.463  16
1.291  13
1.287  9
1.117  8
1.576  8
2.579  8